# KCrCl2O
Simulated powder diffractogram, Cu Kα. Input: DFT lattice parameters and positions (PBE+U).
Peak positions follow from Bragg's law for the DFT cell and can differ from measured ones.

Principal peaks in the range 5° ≤ 2θ ≤ 70°, most intense first:
2θ = 34.06°, d 2.632, I 100.0, hkl 2 0 0; 2θ = 29.45°, d 3.033, I 40.7, hkl 1 0 1; 2θ = 48.91°, d 1.862, I 23.3, hkl 2 2 0; 2θ = 23.95°, d 3.716, I 22.7, hkl 0 0 1; 2θ = 45.62°, d 1.989, I 22.5, hkl 2 1 1; 2θ = 61.11°, d 1.517, I 21.8, hkl 2 0 2; 2θ = 16.83°, d 5.267, I 12.7, hkl 1 0 0; 2θ = 49.11°, d 1.855, I 11.5, hkl 0 0 2; 2θ = 42.08°, d 2.147, I 10.9, hkl 2 0 1; 2θ = 60.98°, d 1.519, I 6.7, hkl 3 1 1

abc: 5.2670 5.2670 3.7099
angles: 90.00 90.00 90.00
Space group P4/mmm (No. 123)
Asymmetric unit:
K1 0.0000 0.0000 0.0000 x1
Cr1 0.5000 0.5000 0.5000 x1
Cl1 0.0000 0.5000 0.5000 x2
O1 0.5000 0.5000 0.0000 x1